Diffraction record for HgBH6Se. The PXRD pattern is simulated, not measured: it uses a PBE-relaxed structure and Cu Kα X-rays.

Top 12 peaks for 15° ≤ 2θ ≤ 90°, sorted by position:
18.5 deg, I 31, hkl 0 1 0
21.1 deg, I 27, hkl 0 1 -1
22.2 deg, I 29, hkl 1 0 0
23.7 deg, I 100, hkl 1 -1 0
25.2 deg, I 79, hkl 0 0 2
26.2 deg, I 55, hkl -1 1 1
27.5 deg, I 43, hkl 1 -1 1
33.7 deg, I 63, hkl 1 1 0
33.9 deg, I 32, hkl 1 1 -1
36.6 deg, I 31, hkl 1 -2 0
38.2 deg, I 67, hkl 0 0 3
43.0 deg, I 27, hkl -2 1 1

Crystal structure
Lattice parameters (Å, degrees): 4.293 5.103 7.191 94.09 97.48 109.14
Element x y z (fractional)
Hg (0.000, 0.000, 0.000)
B (0.230, 0.774, 0.488)
H (0.004, 0.556, 0.480)
H (0.177, 0.979, 0.441)
H (0.330, 0.700, 0.325)
H (0.439, 0.820, 0.629)
H (0.492, 0.741, 0.418)
H (0.549, 0.399, 0.812)
Se (0.634, 0.430, 0.020)

***

Diffraction record for AsOsBr. The PXRD pattern is simulated, not measured: it uses a PBE-relaxed structure and Cu Kα X-rays.

Top 12 peaks for 15° ≤ 2θ ≤ 90°, sorted by position:
27.0 deg, I 17, hkl 1 0 0
30.9 deg, I 100, hkl 1 0 1
40.5 deg, I 63, hkl 1 0 2
47.7 deg, I 38, hkl 1 1 0
50.2 deg, I 27, hkl 1 1 1
53.4 deg, I 24, hkl 0 1 3
58.0 deg, I 17, hkl 0 2 1
64.4 deg, I 16, hkl 0 2 2
68.4 deg, I 11, hkl 1 0 4
74.4 deg, I 9, hkl 2 0 3
78.3 deg, I 14, hkl 2 1 1
84.0 deg, I 16, hkl 2 1 2

Crystal structure
Lattice parameters (Å, degrees): 3.809 3.809 6.032 90.00 90.00 120.00
Element x y z (fractional)
As (0.000, 0.000, 0.000)
Os (0.333, 0.667, 0.857)
Br (0.667, 0.333, 0.577)

***

Diffraction record for CuGeF4. The PXRD pattern is simulated, not measured: it uses a PBE-relaxed structure and Cu Kα X-rays.

Top 12 peaks for 15° ≤ 2θ ≤ 90°, sorted by position:
17.1 deg, I 87, hkl 1 0 0
21.1 deg, I 100, hkl 0 1 1
24.1 deg, I 57, hkl 1 1 0
25.6 deg, I 76, hkl 0 0 2
31.0 deg, I 32, hkl 1 0 2
35.4 deg, I 78, hkl 1 1 2
41.0 deg, I 28, hkl 2 1 1
43.0 deg, I 55, hkl 0 2 2
43.6 deg, I 53, hkl 2 0 2
49.3 deg, I 60, hkl 2 2 0
56.4 deg, I 34, hkl 2 2 2
64.5 deg, I 33, hkl 2 0 4

Crystal structure
Lattice parameters (Å, degrees): 5.174 5.274 6.965 90.00 90.00 90.00
Element x y z (fractional)
Cu (0.000, 0.000, 0.000)
Cu (0.500, 0.500, 0.000)
Ge (0.000, 0.000, 0.500)
Ge (0.000, 0.500, 0.000)
F (0.197, 0.199, 0.631)
F (0.197, 0.801, 0.369)
F (0.264, 0.241, 0.149)
F (0.264, 0.759, 0.851)
F (0.736, 0.241, 0.851)
F (0.736, 0.759, 0.149)
F (0.803, 0.199, 0.369)
F (0.803, 0.801, 0.631)